The following is a computed powder X-ray diffraction pattern of TiNb2O7. It was derived from a PBE-relaxed structure, using Cu Kα, 1.54184 Å.
Peak positions follow from Bragg's law for the DFT cell and can differ from measured ones.

Top 10 peaks for 2θ = 10–90°, in order of rising 2θ:
| 2θ (°) | intensity | (hkl) |
| --- | --- | --- |
| 16.9 | 34.6 | 0 0 2 |
| 17.1 | 36.6 | 4 0 -1 |
| 23.8 | 98.5 | 1 1 0 |
| 25.4 | 100.0 | 0 0 3 |
| 25.8 | 79.7 | 6 0 -2 |
| 26.6 | 29.7 | 3 1 -1 |
| 32.1 | 61.5 | 5 1 -1 |
| 33.1 | 29.8 | 1 1 -3 |
| 43.0 | 30.4 | 0 0 5 |
| 47.5 | 43.1 | 0 2 0 |

Cell and atoms:
Cell: 20.7862 3.8280 12.1640 Å, 90.00 120.11 90.00°
Space group Cm (No. 8)
One atom of each set of equivalent atoms:
Ti: 0.0000 0.0000 0.0000
Ti: 0.0792 0.0000 0.6434
Ti: 0.2879 0.5000 0.2780
Nb: 0.1561 0.0000 0.2735
Nb: 0.1857 0.0000 0.0095
Nb: 0.2599 0.0000 0.6413
Nb: 0.3731 0.0000 0.0074
Nb: 0.3972 0.5000 0.6379
Nb: 0.4693 0.5000 0.2786
O: 0.0306 0.0000 0.4478
O: 0.0544 0.0000 0.2264
O: 0.0794 0.5000 0.6416
O: 0.1032 0.0000 0.0580
O: 0.1288 0.0000 0.8385
O: 0.1767 0.5000 0.2632
O: 0.1783 0.0000 0.6573
O: 0.2036 0.0000 0.4508
O: 0.2068 0.5000 0.0615
O: 0.2523 0.0000 0.2394
O: 0.2872 0.5000 0.6449
O: 0.2886 0.0000 0.0249
O: 0.3282 0.0000 0.8338
O: 0.3293 0.5000 0.4455
O: 0.3697 0.0000 0.6377
O: 0.3707 0.5000 0.2598
O: 0.4064 0.5000 0.0452
O: 0.4523 0.0000 0.2216
O: 0.4538 0.5000 0.8309
O: 0.4806 0.5000 0.6261
O: 0.4817 0.0000 0.0177